Theoretical powder diffraction line list
Compound: LiVP4O12
Radiation: Cu Ka
Structure: a DFT-relaxed cell (PBE+U, the Materials Project)
Kinematic intensities with the Lorentz-polarization factor, no thermal factor.

Cell and atoms:
Unit cell a=10.419 b=10.419 c=5.246 alpha=98.40 beta=98.40 gamma=71.01
Sites, in units of the cell vectors:
Li: 0.071 0.071 0.098
Li: 0.929 0.929 0.902
V: 0.000 0.500 0.500
V: 0.500 0.000 0.500
P: 0.133 0.715 0.322
P: 0.196 0.439 0.030
P: 0.285 0.867 0.678
P: 0.439 0.196 0.030
P: 0.561 0.804 0.970
P: 0.715 0.133 0.322
P: 0.804 0.561 0.970
P: 0.867 0.285 0.678
O: 0.054 0.668 0.489
O: 0.062 0.837 0.183
O: 0.105 0.403 0.184
O: 0.163 0.938 0.817
O: 0.169 0.422 0.739
O: 0.207 0.589 0.120
O: 0.268 0.732 0.500
O: 0.332 0.946 0.511
O: 0.353 0.353 0.108
O: 0.403 0.105 0.184
O: 0.411 0.793 0.880
O: 0.422 0.169 0.739
O: 0.578 0.831 0.261
O: 0.589 0.207 0.120
O: 0.597 0.895 0.816
O: 0.647 0.647 0.892
O: 0.668 0.054 0.489
O: 0.732 0.268 0.500
O: 0.793 0.411 0.880
O: 0.831 0.578 0.261
O: 0.837 0.062 0.183
O: 0.895 0.597 0.816
O: 0.938 0.163 0.817
O: 0.946 0.332 0.511

The 8 most intense peaks (2θ = 10–80°), by intensity:
Position (°2θ)	I_rel
14.64	100
17.55	46
10.60	43
22.65	41
18.53	29
24.92	27
34.36	20
26.62	19